1.
This entry pairs a crystal structure of TiTe4Au3 with its simulated X-ray diffraction stick pattern. Radiation: CuKα. Structure: a crystal structure in Alexandria, relaxed with PBE.

Atomic structure:
Unit cell a=6.314 b=6.314 c=6.314 alpha=90.00 beta=90.00 gamma=90.00
Space group P-43m (No. 215)
One atom of each set of equivalent atoms:
Ti1 0.000 0.000 0.000
Te1 0.250 0.250 0.250
Au1 0.000 0.000 0.500

Most intense lines, 10° ≤ 2θ ≤ 90°, in order of rising 2θ:
- 14.03°, intensity 30, (1 0 0)
- 24.42°, intensity 100, (1 1 1)
- 31.69°, intensity 17, (2 1 0)
- 40.41°, intensity 96, (2 2 0)
- 47.78°, intensity 50, (3 1 1)
- 58.47°, intensity 16, (4 0 0)
- 64.31°, intensity 21, (3 3 1)
- 73.48°, intensity 33, (4 2 2)

2.
This entry pairs a crystal structure of TlPd3 with its simulated X-ray diffraction stick pattern. Radiation: CuKα. Structure: a crystal structure in Alexandria, relaxed with PBE.

Atomic structure:
Unit cell a=4.221 b=4.221 c=7.638 alpha=90.00 beta=90.00 gamma=90.00
Space group I4/mmm (No. 139)
One atom of each set of equivalent atoms:
Tl1 0.000 0.000 0.000
Pd1 0.000 0.000 0.500
Pd2 0.000 0.500 0.250

Most intense lines, 10° ≤ 2θ ≤ 90°, in order of rising 2θ:
- 38.27°, intensity 100, (1 1 2)
- 42.85°, intensity 36, (2 0 0)
- 47.63°, intensity 13, (0 0 4)
- 62.21°, intensity 12, (2 2 0)
- 65.98°, intensity 20, (2 0 4)
- 75.45°, intensity 27, (3 1 2)
- 81.94°, intensity 11, (2 2 4)
- 82.36°, intensity 11, (1 1 6)